Starting from a DFT-relaxed cell (PBE, Alexandria), the powder diffraction line list of BaCuPClO4 was simulated for Cu Ka.
Lines closer than 0.1° are merged.

Main lines, low angle first (2θ from 10° to 90°):
hkl 0 0 2, 2θ = 20.1°, I 22; hkl 0 2 0, 2θ = 22.2°, I 28; hkl 1 1 2, 2θ = 26.0°, I 16; hkl 2 1 1, 2θ = 28.5°, I 100; hkl 0 2 2, 2θ = 30.1°, I 51; hkl 1 2 2, 2θ = 32.5°, I 37; hkl 1 1 3, 2θ = 34.6°, I 24; hkl 1 0 4, 2θ = 42.7°, I 16; hkl 2 3 1, 2θ = 43.0°, I 33; hkl 3 1 3, 2θ = 49.6°, I 16

Cell and atoms:
Cell lengths 7.3846, 8.0114, 8.8426 Å; angles 90.00, 90.00, 90.00 degrees
Space group P2_12_12_1 (No. 19)
Symmetry-distinct sites (fractional):
Ba 0.1258 0.0223 0.1977
Cu 0.1357 0.4788 0.6851
P 0.1263 0.6808 0.9174
Cl 0.1738 0.7443 0.4505
O 0.0246 0.0733 0.6563
O 0.0763 0.8703 0.9132
O 0.1630 0.6372 0.0852
O 0.2077 0.3528 0.3112

Starting from a DFT-relaxed cell (PBE, Alexandria), the powder diffraction line list of La4NiAg2 was simulated for Cu Ka.
Lines closer than 0.1° are merged.

Main lines, low angle first (2θ from 10° to 90°):
hkl 1 1 2, 2θ = 24.0°, I 17; hkl 1 1 4, 2θ = 30.1°, I 18; hkl 0 2 5, 2θ = 31.1°, I 46; hkl 1 3 0, 2θ = 32.6°, I 88; hkl 1 1 5, 2θ = 34.0°, I 100; hkl 0 4 2, 2θ = 35.9°, I 18; hkl 1 3 3, 2θ = 36.2°, I 18; hkl 2 0 0, 2θ = 40.4°, I 36; hkl 0 4 5, 2θ = 43.5°, I 18; hkl 2 2 5, 2θ = 51.8°, I 22

Cell and atoms:
Cell lengths 4.4707, 10.4594, 17.1956 Å; angles 90.00, 90.00, 90.00 degrees
Space group Cmcm (No. 63)
Symmetry-distinct sites (fractional):
La 0.0000 0.0000 0.0000
La 0.0000 0.3426 0.1465
La 0.0000 0.3740 0.7500
Ni 0.0000 0.0784 0.7500
Ag 0.0000 0.3079 0.5495